1.
Computed PXRD pattern of Pr2FeSi3 for Cu Kα (λ = 1.5418 Å), from a GGA-PBE-relaxed structure.
Lines closer than 0.1° are merged.

Atomic structure:
```
data_Pr2FeSi3
_cell_length_a 4.0592
_cell_length_b 4.0592
_cell_length_c 8.7035
_cell_angle_alpha 90.00
_cell_angle_beta 90.00
_cell_angle_gamma 120.00
_symmetry_space_group_name_H-M 'P -6 m 2'
_symmetry_Int_Tables_number 187
_symmetry_space_group_name_Hall 'P -6 2'
loop_
_atom_site_label
_atom_site_type_symbol
_atom_site_fract_x
_atom_site_fract_y
_atom_site_fract_z
Pr1 Pr 0.0000 0.0000 0.2433
Fe1 Fe 0.3333 0.6667 0.0000
Si1 Si 0.3333 0.6667 0.5000
Si2 Si 0.6667 0.3333 0.0000
Si3 Si 0.6667 0.3333 0.5000
```

Largest 6 diffraction maxima, most intense first, 10 to 80 degrees two-theta:
2θ/deg  I/Imax
32.7  100
25.3  34
44.6  30
62.6  21
56.5  21
74.7  18

---

2.
Computed PXRD pattern of ReOs for Cu Kα (λ = 1.5418 Å), from a GGA-PBE-relaxed structure.
Lines closer than 0.1° are merged.

Atomic structure:
```
data_ReOs
_cell_length_a 2.7783
_cell_length_b 2.7783
_cell_length_c 4.3980
_cell_angle_alpha 90.00
_cell_angle_beta 90.00
_cell_angle_gamma 120.00
_symmetry_space_group_name_H-M 'P -6 m 2'
_symmetry_Int_Tables_number 187
_symmetry_space_group_name_Hall 'P -6 2'
loop_
_atom_site_label
_atom_site_type_symbol
_atom_site_fract_x
_atom_site_fract_y
_atom_site_fract_z
Re1 Re 0.0000 0.0000 0.0000
Os1 Os 0.3333 0.6667 0.5000
```

Largest 6 diffraction maxima, most intense first, 10 to 80 degrees two-theta:
2θ/deg  I/Imax
42.8  100
41.0  25
37.4  24
76.0  19
67.4  18
56.7  15